Simulated X-ray diffraction stick pattern of FeHg2Pt for Cu Kα X-rays, from a cell relaxed with GGA-PBE.

Atomic structure:
```
FeHg2Pt
1.0
2.9835 0.0000 0.0000
0.0000 3.8905 0.0000
0.0000 0.0000 6.0523
Fe Hg Pt
1 2 1
Direct
0.0000 0.0000 0.0000
0.5000 0.5000 0.2432
0.5000 0.5000 0.7568
0.0000 0.0000 0.5000
```

Main lines, most intense first (10 to 80 degrees two-theta):
2θ 37.66, intensity 100.0; 2θ 38.01, intensity 98.0; 2θ 42.55, intensity 71.3; 2θ 65.00, intensity 40.9; 2θ 46.70, intensity 27.4; 2θ 74.41, intensity 27.4; 2θ 75.08, intensity 27.2; 2θ 14.64, intensity 14.7; 2θ 27.25, intensity 12.0; 2θ 61.26, intensity 12.0

=====

Simulated X-ray diffraction stick pattern of RbFeSn2Hg for Cu Kα X-rays, from a cell relaxed with GGA-PBE.

Atomic structure:
```
RbFeSn2Hg
1.0
5.7752 0.0000 0.0000
0.0000 5.7752 0.0000
0.0000 0.0000 6.4332
Rb Fe Sn Hg
1 1 2 1
Direct
0.0000 0.0000 0.0000
0.5000 0.5000 0.0000
0.0000 0.5000 0.5000
0.5000 0.0000 0.5000
0.0000 0.0000 0.5000
```

Main lines, most intense first (10 to 80 degrees two-theta):
2θ 30.97, intensity 100.0; 2θ 42.06, intensity 93.0; 2θ 13.77, intensity 81.2; 2θ 15.34, intensity 76.6; 2θ 27.73, intensity 66.3; 2θ 53.15, intensity 56.1; 2θ 20.67, intensity 45.7; 2θ 34.03, intensity 39.8; 2θ 44.37, intensity 37.5; 2θ 25.84, intensity 33.2

=====

Simulated X-ray diffraction stick pattern of FeReHg4 for Cu Kα X-rays, from a cell relaxed with GGA-PBE.

Atomic structure:
```
FeReHg4
1.0
0.0000 3.9532 3.9532
3.9532 0.0000 3.9532
3.9532 3.9532 0.0000
Fe Re Hg
1 1 4
Direct
0.0000 0.0000 0.0000
0.2500 0.2500 0.2500
0.1250 0.6250 0.6250
0.6250 0.1250 0.6250
0.6250 0.6250 0.1250
0.6250 0.6250 0.6250
```

Main lines, most intense first (10 to 80 degrees two-theta):
2θ 37.74, intensity 100.0; 2θ 39.48, intensity 58.0; 2θ 60.88, intensity 33.4; 2θ 66.95, intensity 30.8; 2θ 19.45, intensity 29.9; 2θ 45.91, intensity 13.7; 2θ 32.02, intensity 13.6; 2θ 79.49, intensity 11.9; 2θ 50.30, intensity 8.2; 2θ 70.46, intensity 6.3

=====

Simulated X-ray diffraction stick pattern of FeHgRu for Cu Kα X-rays, from a cell relaxed with GGA-PBE.

Atomic structure:
```
FeHgRu
1.0
2.9266 0.0000 0.0000
0.0000 2.9266 0.0000
0.0000 0.0000 10.9328
Fe Hg Ru
2 2 2
Direct
0.0000 0.0000 0.0000
0.5000 0.5000 0.5000
0.0000 0.0000 0.3187
0.5000 0.5000 0.8187
0.0000 0.0000 0.6248
0.5000 0.5000 0.1248
```

Main lines, most intense first (10 to 80 degrees two-theta):
2θ 39.49, intensity 100.0; 2θ 43.74, intensity 40.3; 2θ 31.65, intensity 31.8; 2θ 77.49, intensity 27.5; 2θ 68.63, intensity 15.5; 2θ 32.77, intensity 15.3; 2θ 55.71, intensity 13.9; 2θ 63.58, intensity 13.1; 2θ 68.04, intensity 12.5; 2θ 16.21, intensity 11.7

=====

Simulated X-ray diffraction stick pattern of FeHg2Se2 for Cu Kα X-rays, from a cell relaxed with GGA-PBE.

Atomic structure:
```
FeHg2Se2
1.0
5.9395 0.0000 0.0000
0.0000 5.9395 0.0000
0.0000 0.0000 7.0439
Fe Hg Se
2 4 4
Direct
0.0000 0.0000 0.0000
0.5000 0.5000 0.0000
0.2369 0.2631 0.5000
0.2631 0.7631 0.5000
0.7369 0.2369 0.5000
0.7631 0.7369 0.5000
0.1497 0.3503 0.0000
0.3503 0.8503 0.0000
0.6497 0.1497 0.0000
0.8503 0.6497 0.0000
```

Main lines, most intense first (10 to 80 degrees two-theta):
2θ 25.29, intensity 100.0; 2θ 32.73, intensity 89.0; 2θ 30.09, intensity 49.4; 2θ 39.70, intensity 47.8; 2θ 12.57, intensity 35.5; 2θ 50.61, intensity 34.4; 2θ 49.49, intensity 28.3; 2θ 43.08, intensity 27.5; 2θ 72.41, intensity 24.6; 2θ 45.05, intensity 22.9

=====

Simulated X-ray diffraction stick pattern of Fe2SiHg2 for Cu Kα X-rays, from a cell relaxed with GGA-PBE.

Atomic structure:
```
Fe2SiHg2
1.0
8.0300 0.0000 0.0000
0.0000 8.0300 0.0000
0.0000 0.0000 2.7893
Fe Si Hg
4 2 4
Direct
0.1041 0.3959 0.0000
0.3959 0.8959 0.0000
0.6041 0.1041 0.0000
0.8959 0.6041 0.0000
0.0000 0.0000 0.5000
0.5000 0.5000 0.5000
0.1888 0.6888 0.5000
0.3112 0.1888 0.5000
0.6888 0.8112 0.5000
0.8112 0.3112 0.5000
```

Main lines, most intense first (10 to 80 degrees two-theta):
2θ 40.97, intensity 100.0; 2θ 24.79, intensity 59.4; 2θ 22.14, intensity 56.6; 2θ 46.64, intensity 53.7; 2θ 39.33, intensity 44.2; 2θ 57.73, intensity 39.6; 2θ 35.35, intensity 28.4; 2θ 31.51, intensity 28.1; 2θ 15.61, intensity 26.1; 2θ 77.26, intensity 25.7

=====

Question: Number 3 is which compound?
Answer: FeReHg4

=====

Question: What is the formula in the fourth record?
Answer: FeHgRu